For Sr3CdIn2Hg6, a crystal structure in Alexandria, relaxed with PBE gives the calculated PXRD pattern in this record (Cu Ka).

Most intense lines, 2θ from 15° to 90°, sorted by position:
2theta  intensity
18.18  28
18.52  25
32.17  28
32.96  100
33.15  54
36.85  32
37.55  16
42.65  29
52.03  16
56.22  26

Lattice parameters (Å, degrees): 6.545 6.545 9.581 90.00 90.00 120.00
Positions (direct):
Sr1 0.000 0.000 0.000
Sr2 0.333 0.667 0.610
Sr3 0.667 0.333 0.390
Cd1 0.000 0.000 0.500
In1 0.333 0.667 0.985
In2 0.667 0.333 0.015
Hg1 0.177 0.355 0.270
Hg2 0.177 0.823 0.270
Hg3 0.355 0.177 0.730
Hg4 0.645 0.823 0.270
Hg5 0.823 0.177 0.730
Hg6 0.823 0.645 0.730


For SrCdIn2Hg, a crystal structure in Alexandria, relaxed with PBE gives the calculated PXRD pattern in this record (Cu Ka).

Most intense lines, 2θ from 15° to 90°, sorted by position:
2theta  intensity
19.80  21
28.57  33
29.99  100
37.35  60
39.45  52
41.16  22
53.85  21
56.78  16
62.87  24
68.78  20

Lattice parameters (Å, degrees): 4.815 4.815 12.318 90.00 90.00 90.00
Positions (direct):
Sr1 0.000 0.000 0.000
Sr2 0.500 0.500 0.500
Cd1 0.000 0.500 0.750
Cd2 0.500 0.000 0.250
In1 0.000 0.000 0.385
In2 0.000 0.000 0.615
In3 0.500 0.500 0.115
In4 0.500 0.500 0.885
Hg1 0.000 0.500 0.250
Hg2 0.500 0.000 0.750